Record 1
Starting from a structure optimized by DFT (PBE), the powder XRD pattern of YbSmO3 was simulated for Cu Kα.

Principal peaks in the range 2θ from 10° to 90°, by angle:
two_theta, Rel. int.
29.78, 24
30.10, 100
30.62, 24
42.93, 11
43.24, 20
53.08, 28
53.65, 12
54.10, 24
62.56, 11
70.76, 8
71.21, 8
86.27, 7

Cell and atoms:
Cell lengths 6.0010, 5.8395, 8.4272 Å; angles 90.00, 90.00, 90.00 degrees
Space group Pna2_1 (No. 33)
Asymmetric unit:
1 Yb 0.0169 0.0001 0.0000 x4
2 Sm 0.0422 0.4944 0.7334 x4
3 O 0.0805 0.1330 0.2553 x4
4 O 0.1354 0.6547 0.4558 x4
5 O 0.2265 0.7049 0.0932 x4


Record 2
Starting from a structure optimized by DFT (PBE), the powder XRD pattern of Sm2Zr8O19 was simulated for Cu Kα.

Principal peaks in the range 2θ from 10° to 90°, by angle:
two_theta, Rel. int.
29.33, 100
29.62, 99
33.43, 16
34.53, 33
48.82, 63
49.26, 20
50.01, 19
57.25, 10
57.42, 9
58.54, 28
59.04, 27
72.83, 11

Cell and atoms:
Cell lengths 3.6475, 3.6998, 26.8079 Å; angles 90.00, 90.00, 90.00 degrees
Space group Pmm2 (No. 25)
Asymmetric unit:
1 Sm 0.0000 0.0000 0.0000 x1
2 Sm 0.5000 0.5000 0.1210 x1
3 Zr 0.0000 0.0000 0.2193 x1
4 Zr 0.0000 0.0000 0.4159 x1
5 Zr 0.0000 0.0000 0.6123 x1
6 Zr 0.0000 0.0000 0.8073 x1
7 Zr 0.5000 0.5000 0.3180 x1
8 Zr 0.5000 0.5000 0.5146 x1
9 Zr 0.5000 0.5000 0.7105 x1
10 Zr 0.5000 0.5000 0.9038 x1
11 O 0.0000 0.5000 0.0619 x1
12 O 0.0000 0.5000 0.1806 x1
13 O 0.0000 0.5000 0.2792 x1
14 O 0.0000 0.5000 0.3780 x1
15 O 0.0000 0.5000 0.4762 x1
16 O 0.0000 0.5000 0.5743 x1
17 O 0.0000 0.5000 0.6710 x1
18 O 0.0000 0.5000 0.7667 x1
19 O 0.0000 0.5000 0.8599 x1
20 O 0.0000 0.5000 0.9524 x1
21 O 0.5000 0.0000 0.1617 x1
22 O 0.5000 0.0000 0.2588 x1
23 O 0.5000 0.0000 0.3566 x1
24 O 0.5000 0.0000 0.4552 x1
25 O 0.5000 0.0000 0.5537 x1
26 O 0.5000 0.0000 0.6527 x1
27 O 0.5000 0.0000 0.7517 x1
28 O 0.5000 0.0000 0.8517 x1
29 O 0.5000 0.0000 0.9512 x1


Record 3
Starting from a structure optimized by DFT (PBE), the powder XRD pattern of Sm4ZrO8 was simulated for Cu Kα.

Principal peaks in the range 2θ from 10° to 90°, by angle:
two_theta, Rel. int.
27.97, 100
28.69, 99
32.30, 20
33.09, 45
46.58, 18
46.92, 60
48.41, 16
54.99, 11
55.62, 32
56.84, 28
69.44, 11
86.69, 10

Cell and atoms:
Cell lengths 3.7605, 3.8998, 27.7171 Å; angles 90.00, 90.00, 90.00 degrees
Space group Immm (No. 71)
Asymmetric unit:
1 Sm 0.0000 0.0000 0.0906 x4
2 Sm 0.0000 0.0000 0.2953 x4
3 Zr 0.0000 0.0000 0.5000 x2
4 O 0.0000 0.5000 0.0446 x4
5 O 0.0000 0.5000 0.1482 x4
6 O 0.0000 0.5000 0.2592 x4
7 O 0.0000 0.5000 0.4532 x4


Record 4
Starting from a structure optimized by DFT (PBE), the powder XRD pattern of Sn5O6 was simulated for Cu Kα.

Principal peaks in the range 2θ from 10° to 90°, by angle:
two_theta, Rel. int.
26.37, 100
30.63, 51
31.22, 23
31.92, 26
36.02, 18
39.21, 12
48.39, 16
48.88, 19
50.08, 13
51.03, 19
54.29, 15
61.43, 11

Cell and atoms:
Cell lengths 14.0271, 4.9873, 5.9020 Å; angles 90.00, 92.07, 90.00 degrees
Space group P2_1/c (No. 14)
Asymmetric unit:
1 Sn 0.0000 0.0000 0.0000 x2
2 Sn 0.1896 0.0019 0.3472 x4
3 Sn 0.4036 0.5050 0.3215 x4
4 O 0.0562 0.6981 0.7895 x4
5 O 0.1359 0.1748 0.0350 x4
6 O 0.4577 0.6777 0.6311 x4


Record 5
Starting from a structure optimized by DFT (PBE), the powder XRD pattern of SnO was simulated for Cu Kα.

Principal peaks in the range 2θ from 10° to 90°, by angle:
two_theta, Rel. int.
27.33, 100
31.35, 80
31.50, 53
38.79, 17
39.27, 27
50.46, 11
50.79, 48
51.09, 41
56.39, 13
58.33, 21
63.43, 13
79.60, 14

Cell and atoms:
Cell lengths 7.2341, 9.1760, 9.2862 Å; angles 90.00, 90.00, 90.00 degrees
Space group Fddd (No. 70, origin choice 2)
Asymmetric unit:
1 Sn 0.1084 0.3750 0.3750 x16
2 O 0.1250 0.1250 0.2730 x16


Record 6
Starting from a structure optimized by DFT (PBE), the powder XRD pattern of SnO was simulated for Cu Kα.

Principal peaks in the range 2θ from 10° to 90°, by angle:
two_theta, Rel. int.
14.17, 18
26.51, 31
28.55, 40
29.30, 100
32.82, 14
33.62, 15
39.47, 13
39.70, 24
49.62, 18
51.04, 27
54.86, 14
65.74, 12

Cell and atoms:
Cell lengths 4.5412, 5.4569, 12.5047 Å; angles 90.00, 90.00, 90.00 degrees
Space group Cmc2_1 (No. 36)
Asymmetric unit:
1 Sn 0.0000 0.0413 0.0000 x4
2 Sn 0.0000 0.3957 0.2230 x4
3 O 0.0000 0.0069 0.1730 x4
4 O 0.0000 0.4292 0.0498 x4


Record 7
Starting from a structure optimized by DFT (PBE), the powder XRD pattern of Sr5Sn2O was simulated for Cu Kα.

Principal peaks in the range 2θ from 10° to 90°, by angle:
two_theta, Rel. int.
14.18, 52
26.28, 30
27.30, 92
31.55, 39
32.10, 52
32.82, 100
36.36, 44
41.94, 17
49.28, 36
57.68, 20
58.37, 22
61.67, 25

Cell and atoms:
Cell lengths 5.5774, 12.4886, 16.1585 Å; angles 90.00, 90.00, 90.00 degrees
Space group Cmcm (No. 63)
Asymmetric unit:
1 Sr 0.0000 0.1063 0.1338 x8
2 Sr 0.0000 0.2494 0.7500 x4
3 Sr 0.0000 0.3944 0.1336 x8
4 Sn 0.0000 0.2501 0.5447 x8
5 O 0.0000 0.2504 0.2500 x4


Record 8
Starting from a structure optimized by DFT (PBE), the powder XRD pattern of Sr9Sn3O2 was simulated for Cu Kα.

Principal peaks in the range 2θ from 10° to 90°, by angle:
two_theta, Rel. int.
16.87, 1
23.94, 4
29.43, 100
34.11, 57
42.10, 2
49.01, 40
58.21, 44
61.06, 14
66.56, 1
71.83, 6
79.47, 18
81.97, 18

Cell and atoms:
Cell lengths 7.4337, 7.4337, 9.1070 Å; angles 90.00, 90.00, 120.00 degrees
Space group P-3m1 (No. 164)
Asymmetric unit:
1 Sr 0.0000 0.5000 0.0000 x3
2 Sr 0.1707 0.3415 0.6727 x6
3 Sn 0.0000 0.0000 0.0000 x1
4 Sn 0.3333 0.6667 0.3323 x2
5 O 0.3333 0.6667 0.8367 x2


Record 9
Starting from a structure optimized by DFT (PBE), the powder XRD pattern of Sr2SnO4 was simulated for Cu Kα.

Principal peaks in the range 2θ from 10° to 90°, by angle:
two_theta, Rel. int.
14.15, 12
30.38, 100
42.15, 11
43.37, 8
43.56, 21
53.90, 12
54.02, 26
62.21, 5
63.16, 9
63.30, 6
71.83, 12
87.85, 13

Cell and atoms:
Cell lengths 5.8764, 5.8764, 12.5181 Å; angles 90.00, 90.00, 90.00 degrees
Space group P4_2/ncm (No. 138, origin choice 2)
Asymmetric unit:
1 Sr 0.0148 0.0148 0.1469 x8
2 Sn 0.0000 0.0000 0.5000 x4
3 O 0.0439 0.0439 0.6633 x8
4 O 0.2500 0.2500 0.4692 x4
5 O 0.2500 0.7500 0.0000 x4


Record 10
Starting from a structure optimized by DFT (PBE), the powder XRD pattern of Sr3Sn2O7 was simulated for Cu Kα.

Principal peaks in the range 2θ from 10° to 90°, by angle:
two_theta, Rel. int.
17.14, 8
30.37, 28
30.57, 100
30.82, 30
43.79, 47
54.11, 33
54.45, 11
54.65, 20
63.63, 16
72.30, 10
87.85, 7
88.16, 9

Cell and atoms:
Cell lengths 20.6991, 5.8858, 5.8025 Å; angles 90.00, 90.00, 90.00 degrees
Space group Cmcm (No. 63)
Asymmetric unit:
1 Sr 0.0000 0.2429 0.2500 x4
2 Sr 0.1873 0.2374 0.2500 x8
3 Sn 0.0989 0.2516 0.7500 x8
4 O 0.0000 0.3260 0.7500 x4
5 O 0.0824 0.0000 0.0000 x8
6 O 0.1132 0.5000 0.0000 x8
7 O 0.1973 0.1891 0.7500 x8


Copy entry 9 word for word.
Starting from a structure optimized by DFT (PBE), the powder XRD pattern of Sr2SnO4 was simulated for Cu Kα.

Principal peaks in the range 2θ from 10° to 90°, by angle:
two_theta, Rel. int.
14.15, 12
30.38, 100
42.15, 11
43.37, 8
43.56, 21
53.90, 12
54.02, 26
62.21, 5
63.16, 9
63.30, 6
71.83, 12
87.85, 13

Cell and atoms:
Cell lengths 5.8764, 5.8764, 12.5181 Å; angles 90.00, 90.00, 90.00 degrees
Space group P4_2/ncm (No. 138, origin choice 2)
Asymmetric unit:
1 Sr 0.0148 0.0148 0.1469 x8
2 Sn 0.0000 0.0000 0.5000 x4
3 O 0.0439 0.0439 0.6633 x8
4 O 0.2500 0.2500 0.4692 x4
5 O 0.2500 0.7500 0.0000 x4